Record 1
Calculated powder XRD pattern of Bi2BPd6 for Cu Kα (λ = 1.5418 Å), from the GGA-PBE geometry in Alexandria.
Peak positions follow from Bragg's law for the DFT cell and can differ from measured ones.

Crystal structure
```
data_Bi2BPd6
_chemical_formula_sum 'Bi8 B4 Pd24'
_space_group_name_H-M_alt 'F m -3 m'
_space_group_IT_number 225
_space_group_name_Hall '-F 4 2 3'
_cell_length_a 8.487
_cell_length_b 8.487
_cell_length_c 8.487
_cell_angle_alpha 90.00
_cell_angle_beta 90.00
_cell_angle_gamma 90.00
loop_
_atom_site_label
_atom_site_type_symbol
_atom_site_fract_x
_atom_site_fract_y
_atom_site_fract_z
Bi1 Bi 0.250 0.250 0.250
B1 B 0.000 0.000 0.000
Pd1 Pd 0.000 0.000 0.252
```

Most intense lines, 2θ from 10° to 90°, by intensity:
h k l	2theta	I/Imax
2 2 2	36.7	100
4 0 0	42.6	51
6 2 2	74.1	38
4 4 0	61.8	34
4 4 4	78.0	11
2 2 0	29.8	10
2 0 0	20.9	9
4 2 0	47.9	5


Record 2
Calculated powder XRD pattern of BiBPd4 for Cu Kα (λ = 1.5418 Å), from the GGA-PBE geometry in Alexandria.
Peak positions follow from Bragg's law for the DFT cell and can differ from measured ones.

Crystal structure
```
data_BiBPd4
_chemical_formula_sum 'Bi2 B2 Pd8'
_space_group_name_H-M_alt 'P -1'
_space_group_IT_number 2
_space_group_name_Hall '-P 1'
_cell_length_a 5.106
_cell_length_b 5.969
_cell_length_c 7.096
_cell_angle_alpha 74.49
_cell_angle_beta 68.99
_cell_angle_gamma 89.99
loop_
_atom_site_label
_atom_site_type_symbol
_atom_site_fract_x
_atom_site_fract_y
_atom_site_fract_z
Bi1 Bi 0.125 0.250 0.001
B1 B 0.000 0.500 0.500
B2 B 0.500 0.000 0.500
Pd1 Pd 0.108 0.151 0.592
Pd2 Pd 0.299 0.650 0.593
Pd3 Pd 0.301 0.554 0.197
Pd4 Pd 0.498 0.947 0.803
```

Most intense lines, 2θ from 10° to 90°, by intensity:
h k l	2theta	I/Imax
2 1 2	39.6	100
1 2 0	38.5	43
0 2 2	35.7	42
1 -1 2	34.6	35
1 -3 0	49.6	14
-2 3 2	66.8	13
1 1 4	51.5	12
1 4 2	65.2	12


Record 3
Calculated powder XRD pattern of BiBPd5 for Cu Kα (λ = 1.5418 Å), from the GGA-PBE geometry in Alexandria.
Peak positions follow from Bragg's law for the DFT cell and can differ from measured ones.

Crystal structure
```
data_BiBPd5
_chemical_formula_sum 'Bi4 B4 Pd20'
_space_group_name_H-M_alt 'I m m a'
_space_group_IT_number 74
_space_group_name_Hall '-I 2b 2'
_cell_length_a 7.166
_cell_length_b 8.199
_cell_length_c 8.484
_cell_angle_alpha 90.00
_cell_angle_beta 90.00
_cell_angle_gamma 90.00
loop_
_atom_site_label
_atom_site_type_symbol
_atom_site_fract_x
_atom_site_fract_y
_atom_site_fract_z
Bi1 Bi 0.000 0.250 0.109
B1 B 0.000 0.000 0.500
Pd1 Pd 0.000 0.078 0.732
Pd2 Pd 0.000 0.250 0.431
Pd3 Pd 0.215 0.000 0.000
```

Most intense lines, 2θ from 10° to 90°, by intensity:
h k l	2theta	I/Imax
2 2 2	39.6	100
2 1 3	42.2	72
2 3 1	43.0	70
2 2 0	33.2	68
0 1 3	33.5	67
0 3 1	34.5	64
2 0 0	24.8	58
0 2 4	48.3	48